Computed powder X-ray diffraction pattern of Tb2ThTe3 for copper Kα, from a structure optimized by DFT (GGA-PBE).

Cell and atoms:
```
6
Lattice="-2.129 3.121 6.827 2.129 -3.121 6.827 2.129 3.121 -6.827" Properties=species:S:1:pos:R:3 pbc="T T T"
Tb 0.000 0.000 2.194
Tb 0.000 0.000 11.461
Th 0.000 0.000 6.827
Te 2.129 0.000 0.000
Te 2.129 0.000 4.439
Te 0.000 3.121 2.388
```

Top 10 peaks for 2θ = 15–90°, low angle first:
28.6 deg, I 54
28.7 deg, I 100
39.6 deg, I 20
41.0 deg, I 77
42.5 deg, I 18
49.6 deg, I 22
52.0 deg, I 20
67.1 deg, I 18
67.3 deg, I 17
72.8 deg, I 13